Record 1
Na3LiBe2F8: computed X-ray diffraction stick pattern (Cu Kα X-rays), based on a cell relaxed with GGA-PBE.

Top 12 peaks for 2θ = 15–90°, sorted by position:
- hkl 1 3 0, 2θ 30.43, intensity 49
- hkl 2 0 -2, 2θ 31.50, intensity 29
- hkl 0 2 3, 2θ 32.35, intensity 53
- hkl 0 4 1, 2θ 37.62, intensity 36
- hkl 2 2 2, 2θ 38.31, intensity 100
- hkl 1 1 -4, 2θ 38.66, intensity 43
- hkl 2 3 1, 2θ 40.24, intensity 41
- hkl 1 2 -4, 2θ 41.91, intensity 34
- hkl 3 1 -1, 2θ 42.58, intensity 55
- hkl 2 0 4, 2θ 46.96, intensity 33
- hkl 1 3 4, 2θ 48.41, intensity 29
- hkl 3 3 -2, 2θ 52.41, intensity 35

Atomic structure:
```
data_Na3LiBe2F8
_cell_length_a 6.600
_cell_length_b 9.848
_cell_length_c 10.057
_cell_angle_alpha 90.00
_cell_angle_beta 93.76
_cell_angle_gamma 90.00
_symmetry_space_group_name_H-M 'P 1 21/c 1'
_symmetry_Int_Tables_number 14
loop_
_symmetry_equiv_pos_as_xyz
'x,y,z'
'-x,-y,-z'
'-x,y+1/2,-z+1/2'
'x,-y+1/2,z+1/2'
loop_
_atom_site_label
_atom_site_type_symbol
_atom_site_fract_x
_atom_site_fract_y
_atom_site_fract_z
Na1 Na 0.144 0.110 0.421
Na2 Na 0.145 0.717 0.367
Na3 Na 0.333 0.077 0.108
Li1 Li 0.452 0.124 0.699
Be1 Be 0.123 0.082 0.838
Be2 Be 0.397 0.662 0.089
F1 F 0.039 0.022 0.215
F2 F 0.061 0.165 0.960
F3 F 0.176 0.184 0.723
F4 F 0.196 0.596 0.029
F5 F 0.323 0.002 0.883
F6 F 0.353 0.722 0.690
F7 F 0.458 0.056 0.338
F8 F 0.490 0.221 0.533
```



Record 2
Eu9Ni26P12: computed X-ray diffraction stick pattern (Cu Kα X-rays), based on a cell relaxed with GGA-PBE.

Top 12 peaks for 2θ = 15–90°, sorted by position:
- hkl 4 0 0, 2θ 28.66, intensity 10
- hkl 3 1 1, 2θ 34.93, intensity 25
- hkl 4 0 1, 2θ 37.17, intensity 100
- hkl 4 1 1, 2θ 40.66, intensity 14
- hkl 4 3 0, 2θ 44.21, intensity 22
- hkl 0 0 2, 2θ 47.36, intensity 23
- hkl 4 4 0, 2θ 50.76, intensity 15
- hkl 7 0 1, 2θ 57.03, intensity 19
- hkl 4 3 2, 2θ 66.77, intensity 14
- hkl 7 3 1, 2θ 71.66, intensity 12
- hkl 4 4 2, 2θ 71.94, intensity 10
- hkl 4 0 3, 2θ 81.29, intensity 13

Atomic structure:
```
data_Eu9Ni26P12
_cell_length_a 14.3887
_cell_length_b 14.3887
_cell_length_c 3.8393
_cell_angle_alpha 90.00
_cell_angle_beta 90.00
_cell_angle_gamma 120.00
_symmetry_space_group_name_H-M 'P -6 m 2'
_symmetry_Int_Tables_number 187
_symmetry_space_group_name_Hall 'P -6 2'
loop_
_atom_site_label
_atom_site_type_symbol
_atom_site_fract_x
_atom_site_fract_y
_atom_site_fract_z
Eu1 Eu 0.1813 0.0906 0.0000
Eu2 Eu 0.1884 0.3768 0.0000
Eu3 Eu 0.5756 0.1512 0.5000
Ni1 Ni 0.0000 0.0000 0.5000
Ni2 Ni 0.0759 0.4537 0.5000
Ni3 Ni 0.0954 0.1908 0.5000
Ni4 Ni 0.2021 0.6010 0.0000
Ni5 Ni 0.2781 0.5562 0.5000
Ni6 Ni 0.3783 0.0525 0.0000
Ni7 Ni 0.3815 0.1908 0.5000
Ni8 Ni 0.6667 0.3333 0.0000
P1 P 0.0291 0.5146 0.0000
P2 P 0.2784 0.0035 0.5000
P3 P 0.4815 0.2407 0.0000
```



Record 3
Na2SeO2: computed X-ray diffraction stick pattern (Cu Kα X-rays), based on a cell relaxed with GGA-PBE.

Top 12 peaks for 2θ = 15–90°, sorted by position:
- hkl 1 1 3, 2θ 23.43, intensity 55
- hkl 1 3 1, 2θ 23.96, intensity 50
- hkl 3 1 1, 2θ 24.56, intensity 61
- hkl 2 2 2, 2θ 25.07, intensity 37
- hkl 0 0 4, 2θ 28.10, intensity 49
- hkl 0 4 0, 2θ 28.98, intensity 87
- hkl 4 0 0, 2θ 29.99, intensity 46
- hkl 1 5 1, 2θ 37.95, intensity 39
- hkl 0 4 4, 2θ 40.80, intensity 66
- hkl 4 0 4, 2θ 41.56, intensity 100
- hkl 4 4 0, 2θ 42.19, intensity 65
- hkl 4 4 4, 2θ 51.46, intensity 62

Atomic structure:
```
data_Na2SeO2
_cell_length_a 11.919
_cell_length_b 12.326
_cell_length_c 12.704
_cell_angle_alpha 90.00
_cell_angle_beta 90.00
_cell_angle_gamma 90.00
_symmetry_space_group_name_H-M 'F d d d'
_symmetry_Int_Tables_number 70
loop_
_symmetry_equiv_pos_as_xyz
'x,y,z'
'-x,-y,-z'
'-x+1/4,-y+1/4,z'
'x+1/4,y+1/4,-z'
'x,-y+1/4,-z+1/4'
'-x,y+1/4,z+1/4'
'-x+1/4,y,-z+1/4'
'x+1/4,-y,z+1/4'
'x,y+1/2,z+1/2'
'-x,-y+1/2,-z+1/2'
'-x+1/4,-y+3/4,z+1/2'
'x+1/4,y+3/4,-z+1/2'
'x,-y+3/4,-z+3/4'
'-x,y+3/4,z+3/4'
'-x+1/4,y+1/2,-z+3/4'
'x+1/4,-y+1/2,z+3/4'
'x+1/2,y,z+1/2'
'-x+1/2,-y,-z+1/2'
'-x+3/4,-y+1/4,z+1/2'
'x+3/4,y+1/4,-z+1/2'
'x+1/2,-y+1/4,-z+3/4'
'-x+1/2,y+1/4,z+3/4'
'-x+3/4,y,-z+3/4'
'x+3/4,-y,z+3/4'
'x+1/2,y+1/2,z'
'-x+1/2,-y+1/2,-z'
'-x+3/4,-y+3/4,z'
'x+3/4,y+3/4,-z'
'x+1/2,-y+3/4,-z+1/4'
'-x+1/2,y+3/4,z+1/4'
'-x+3/4,y+1/2,-z+1/4'
'x+3/4,-y+1/2,z+1/4'
loop_
_atom_site_label
_atom_site_type_symbol
_atom_site_fract_x
_atom_site_fract_y
_atom_site_fract_z
Na1 Na 0.007 0.016 0.231
Se1 Se 0.000 0.000 0.000
O1 O 0.121 0.065 0.882
```



Record 4
DyNiGe3: computed X-ray diffraction stick pattern (Cu Kα X-rays), based on a cell relaxed with GGA-PBE.

Top 12 peaks for 2θ = 15–90°, sorted by position:
- hkl 0 6 1, 2θ 33.16, intensity 36
- hkl 1 3 1, 2θ 33.27, intensity 100
- hkl 1 5 1, 2θ 37.32, intensity 13
- hkl 1 9 0, 2θ 43.69, intensity 22
- hkl 2 0 0, 2θ 44.00, intensity 25
- hkl 0 0 2, 2θ 44.20, intensity 24
- hkl 2 6 1, 2θ 56.19, intensity 16
- hkl 1 9 2, 2θ 63.90, intensity 14
- hkl 2 0 2, 2θ 64.14, intensity 16
- hkl 1 15 1, 2θ 73.45, intensity 9
- hkl 3 3 1, 2θ 74.05, intensity 10
- hkl 1 3 3, 2θ 74.33, intensity 12

Atomic structure:
```
data_DyNiGe3
_cell_length_a 4.116
_cell_length_b 21.582
_cell_length_c 4.098
_cell_angle_alpha 90.00
_cell_angle_beta 90.00
_cell_angle_gamma 90.00
_symmetry_space_group_name_H-M 'C m m m'
_symmetry_Int_Tables_number 65
_symmetry_space_group_name_Hall '-C 2 2'
loop_
_atom_site_label
_atom_site_type_symbol
_atom_site_fract_x
_atom_site_fract_y
_atom_site_fract_z
Dy1 Dy 0.000 0.169 0.000
Ni1 Ni 0.000 0.390 0.500
Ge1 Ge 0.000 0.057 0.500
Ge2 Ge 0.000 0.284 0.500
Ge3 Ge 0.000 0.443 0.000
```